1.
LiCr2Mo3O12: computed X-ray powder pattern (Cu Kα (λ = 1.5418 Å)), based on a PBE+U-relaxed structure.
Peak positions follow from Bragg's law for the DFT cell and can differ from measured ones.

The 10 most intense peaks (5 to 70 degrees two-theta), in order of falling intensity:
d/Å, 2theta, I/Imax, hkl
3.343, 26.66, 100.0, 2 0 0
3.840, 23.17, 86.5, 0 0 3
3.913, 22.73, 33.1, 1 -1 1
3.666, 24.28, 32.4, -1 1 2
1.753, 52.19, 26.8, 1 4 1
3.426, 26.01, 24.5, 0 2 1
3.075, 29.04, 22.7, 0 1 -3
3.365, 26.48, 22.5, 0 2 0
2.813, 31.81, 19.5, -1 2 1
1.959, 46.35, 19.3, 3 -1 1

Atomic structure:
```
data_LiCr2Mo3O12
_symmetry_space_group_name_H-M 'P -1'
_symmetry_Int_Tables_number 2
_cell_length_a 6.837
_cell_length_b 7.033
_cell_length_c 11.802
_cell_angle_alpha 77.56
_cell_angle_beta 85.66
_cell_angle_gamma 77.88
loop_
_symmetry_equiv_pos_as_xyz
'x,y,z'
'-x,-y,-z'
loop_
_atom_site_label
_atom_site_type_symbol
_atom_site_fract_x
_atom_site_fract_y
_atom_site_fract_z
_atom_site_occupancy
Li1 Li 0.178 0.437 0.087 1
Cr1 Cr 0.195 0.230 0.872 1
Cr2 Cr 0.198 0.835 0.478 1
Mo1 Mo 0.246 0.301 0.553 1
Mo2 Mo 0.246 0.908 0.148 1
Mo3 Mo 0.297 0.713 0.813 1
O1 O 0.106 0.731 0.114 1
O2 O 0.108 0.142 0.499 1
O3 O 0.163 0.515 0.895 1
O4 O 0.175 0.319 0.701 1
O5 O 0.180 0.948 0.288 1
O6 O 0.202 0.150 0.049 1
O7 O 0.208 0.541 0.460 1
O8 O 0.210 0.946 0.861 1
O9 O 0.253 0.753 0.664 1
O10 O 0.444 0.361 0.168 1
O11 O 0.493 0.200 0.859 1
O12 O 0.497 0.811 0.454 1
```



2.
Li2Co3SbO8: computed X-ray powder pattern (Cu Kα (λ = 1.5418 Å)), based on a PBE+U-relaxed structure.
Peak positions follow from Bragg's law for the DFT cell and can differ from measured ones.

The 10 most intense peaks (5 to 70 degrees two-theta), in order of falling intensity:
d/Å, 2theta, I/Imax, hkl
4.768, 18.61, 100.0, 1 1 1
2.065, 43.85, 49.7, 4 0 0
2.490, 36.07, 49.6, 3 1 1
1.460, 63.75, 29.9, 4 4 0
2.384, 37.73, 19.9, 2 2 2
1.589, 58.03, 19.7, 5 1 1
1.396, 67.04, 15.1, 5 3 1
1.895, 48.02, 13.1, 3 3 1
3.693, 24.10, 9.0, 2 1 0
3.372, 26.43, 5.0, 2 1 1

Atomic structure:
```
data_Li2Co3SbO8
_symmetry_space_group_name_H-M 'P 43 3 2'
_symmetry_Int_Tables_number 212
_symmetry_space_group_name_Hall 'P 4acd 2ab 3'
_cell_length_a 8.259
_cell_length_b 8.259
_cell_length_c 8.259
_cell_angle_alpha 90.00
_cell_angle_beta 90.00
_cell_angle_gamma 90.00
loop_
_atom_site_label
_atom_site_type_symbol
_atom_site_fract_x
_atom_site_fract_y
_atom_site_fract_z
_atom_site_occupancy
Li1 Li 0.004 0.496 0.504 1
Co1 Co 0.118 0.132 0.625 1
Sb1 Sb 0.125 0.875 0.375 1
O1 O 0.106 0.120 0.390 1
O2 O 0.112 0.612 0.888 1
```



3.
Li4Nb2V3Co3O16: computed X-ray powder pattern (Cu Kα (λ = 1.5418 Å)), based on a PBE+U-relaxed structure.
Peak positions follow from Bragg's law for the DFT cell and can differ from measured ones.

The 10 most intense peaks (5 to 70 degrees two-theta), in order of falling intensity:
d/Å, 2theta, I/Imax, hkl
4.593, 19.33, 100.0, 2 0 -1
4.568, 19.43, 98.8, 2 0 1
2.547, 35.24, 69.4, 3 1 2
2.502, 35.89, 64.0, 2 2 1
2.753, 32.52, 43.7, 1 1 3
3.568, 24.96, 41.9, 1 1 -2
1.497, 61.97, 36.2, 6 2 0
4.894, 18.13, 35.0, 0 0 2
1.557, 59.35, 34.8, 4 0 5
2.564, 35.00, 31.0, 3 1 -2

Atomic structure:
```
data_Li4Nb2V3Co3O16
_symmetry_space_group_name_H-M 'C 1 m 1'
_symmetry_Int_Tables_number 8
_cell_length_a 10.385
_cell_length_b 5.972
_cell_length_c 9.788
_cell_angle_alpha 90.00
_cell_angle_beta 90.55
_cell_angle_gamma 90.00
loop_
_symmetry_equiv_pos_as_xyz
'x,y,z'
'x,-y,z'
'x+1/2,y+1/2,z'
'x+1/2,-y+1/2,z'
loop_
_atom_site_label
_atom_site_type_symbol
_atom_site_fract_x
_atom_site_fract_y
_atom_site_fract_z
_atom_site_occupancy
Li1 Li 0.000 0.000 0.000 1
Li2 Li 0.001 0.000 0.508 1
Li3 Li 0.158 0.500 0.912 1
Li4 Li 0.329 0.000 0.415 1
Nb1 Nb 0.162 0.500 0.512 1
Nb2 Nb 0.343 0.000 0.001 1
V1 V 0.088 0.255 0.230 1
V2 V 0.172 0.000 0.740 1
Co1 Co 0.327 0.500 0.221 1
Co2 Co 0.408 0.247 0.724 1
O1 O 0.005 0.000 0.319 1
O2 O 0.006 0.000 0.811 1
O3 O 0.015 0.500 0.348 1
O4 O 0.084 0.253 0.603 1
O5 O 0.145 0.500 0.117 1
O6 O 0.162 0.000 0.115 1
O7 O 0.229 0.271 0.349 1
O8 O 0.246 0.218 0.865 1
O9 O 0.311 0.000 0.621 1
O10 O 0.330 0.500 0.594 1
O11 O 0.418 0.249 0.107 1
O12 O 0.475 0.000 0.862 1
```



4.
Ba2LiNi2O6: computed X-ray powder pattern (Cu Kα (λ = 1.5418 Å)), based on a PBE+U-relaxed structure.
Peak positions follow from Bragg's law for the DFT cell and can differ from measured ones.

The 10 most intense peaks (5 to 70 degrees two-theta), in order of falling intensity:
d/Å, 2theta, I/Imax, hkl
2.939, 30.42, 100.0, 3 1 0
3.710, 23.99, 98.5, 1 1 -1
2.773, 32.29, 51.3, 0 2 0
2.087, 43.36, 42.5, 1 1 2
1.855, 49.12, 40.8, 2 2 -2
2.826, 31.67, 38.5, 3 1 -1
3.260, 27.36, 34.9, 1 1 1
2.084, 43.41, 33.5, 2 2 1
1.759, 51.98, 30.3, 5 1 -2
2.495, 35.99, 30.3, 2 0 -2

Atomic structure:
```
data_Ba2LiNi2O6
_symmetry_space_group_name_H-M 'C 1 m 1'
_symmetry_Int_Tables_number 8
_cell_length_a 10.807
_cell_length_b 5.545
_cell_length_c 5.096
_cell_angle_alpha 90.00
_cell_angle_beta 105.85
_cell_angle_gamma 90.00
loop_
_symmetry_equiv_pos_as_xyz
'x,y,z'
'x,-y,z'
'x+1/2,y+1/2,z'
'x+1/2,-y+1/2,z'
loop_
_atom_site_label
_atom_site_type_symbol
_atom_site_fract_x
_atom_site_fract_y
_atom_site_fract_z
_atom_site_occupancy
Ba1 Ba 0.000 0.000 0.000 1
Ba2 Ba 0.118 0.500 0.612 1
Li1 Li 0.309 0.500 0.306 1
Ni1 Ni 0.309 0.000 0.307 1
Ni2 Ni 0.309 0.000 0.807 1
O1 O 0.173 0.000 0.487 1
O2 O 0.235 0.235 0.041 1
O3 O 0.383 0.235 0.573 1
O4 O 0.444 0.000 0.127 1
```